For NaNdMo2O8, DFT lattice parameters and positions (GGA+U) gives the computed PXRD pattern in this record (Cu Kα (λ = 1.5418 Å)).
No peak broadening, texture or thermal motion is included.

Atomic structure:
```
data_NaNdMo2O8
_chemical_formula_sum 'Na2 Nd2 Mo4 O16'
_cell_length_a 5.353
_cell_length_b 5.353
_cell_length_c 11.686
_cell_angle_alpha 90.00
_cell_angle_beta 90.00
_cell_angle_gamma 90.00
_space_group_name_H-M_alt 'I -4'
_space_group_IT_number 82
loop_
_space_group_symop_operation_xyz
'x,y,z'
'y,-x,-z'
'-x,-y,z'
'-y,x,-z'
'x+1/2,y+1/2,z+1/2'
'y+1/2,-x+1/2,-z+1/2'
'-x+1/2,-y+1/2,z+1/2'
'-y+1/2,x+1/2,-z+1/2'
loop_
_atom_site_label
_atom_site_type_symbol
_atom_site_fract_x
_atom_site_fract_y
_atom_site_fract_z
_atom_site_occupancy
Na1 Na 0.000 0.000 0.000 1
Nd1 Nd 0.000 0.500 0.250 1
Mo1 Mo 0.000 0.000 0.500 1
Mo2 Mo 0.000 0.500 0.750 1
O1 O 0.140 0.759 0.413 1
O2 O 0.153 0.257 0.831 1
```

Top 10 peaks for 2θ = 10–80°, sorted by position:
2theta, d/Å, intensity, index
15.16, 5.843, 12, 0 0 2
18.23, 4.867, 19, 1 0 1
28.09, 3.177, 100, 1 1 2
30.60, 2.922, 13, 0 0 4
33.48, 2.677, 18, 2 0 0
45.99, 1.974, 31, 2 0 4
48.07, 1.893, 13, 2 2 0
52.86, 1.732, 16, 1 1 6
56.60, 1.626, 26, 3 1 2
74.22, 1.278, 12, 1 3 6